Starting from DFT lattice parameters and positions (PBE), the X-ray diffraction stick pattern of Sc4S3 was calculated for Cu Kα (weighted mean of Kα1 and Kα2).

Most intense lines, 10° ≤ 2θ ≤ 90°, in order of falling intensity:
| 2θ/deg | d/Å | I/Imax |
| --- | --- | --- |
| 34.95 | 2.568 | 100 |
| 50.39 | 1.811 | 79 |
| 35.11 | 2.556 | 49 |
| 84.69 | 1.145 | 19 |
| 50.08 | 1.822 | 16 |
| 62.62 | 1.483 | 15 |
| 62.93 | 1.477 | 15 |
| 15.00 | 5.908 | 15 |
| 84.44 | 1.147 | 13 |
| 30.12 | 2.967 | 12 |

Structural model:
```
Sc4S3
1.0
3.6190 -5.1124 0.0000
3.6190 5.1124 0.0000
0.0000 0.0000 3.6432
Sc S
4 3
Cartesian
3.6190 2.5755 0.0000
1.8135 0.0000 1.8216
5.4246 0.0000 1.8216
3.6190 -2.5755 0.0000
0.0000 0.0000 0.0000
1.8095 2.5562 1.8216
1.8095 -2.5562 1.8216
```

---

Starting from DFT lattice parameters and positions (PBE), the X-ray diffraction stick pattern of Cs3Cu2Br7 was calculated for Cu Kα (weighted mean of Kα1 and Kα2).

Most intense lines, 10° ≤ 2θ ≤ 90°, in order of falling intensity:
| 2θ/deg | d/Å | I/Imax |
| --- | --- | --- |
| 30.47 | 2.933 | 100 |
| 33.56 | 2.670 | 84 |
| 23.56 | 3.777 | 34 |
| 47.07 | 1.931 | 33 |
| 58.10 | 1.588 | 31 |
| 48.19 | 1.888 | 29 |
| 32.03 | 2.794 | 25 |
| 23.03 | 3.861 | 23 |
| 52.11 | 1.755 | 21 |
| 78.81 | 1.214 | 20 |

Structural model:
```
Cs3Cu2Br7
1.0
-2.6705 2.6705 13.9711
2.6705 -2.6705 13.9711
2.6705 2.6705 -13.9711
Cs Cu Br
3 2 7
Cartesian
0.0000 0.0000 0.0000
0.0000 0.0000 5.0571
0.0000 0.0000 22.8851
0.0000 0.0000 11.3661
0.0000 0.0000 16.5761
2.6705 0.0000 2.5444
0.0000 0.0000 8.8218
2.6705 0.0000 11.4267
0.0000 0.0000 13.9711
0.0000 2.6705 2.5444
0.0000 0.0000 19.1203
0.0000 2.6705 11.4267
```

---

Starting from DFT lattice parameters and positions (PBE), the X-ray diffraction stick pattern of Y2CuSi4Ir3 was calculated for Cu Kα (weighted mean of Kα1 and Kα2).

Most intense lines, 10° ≤ 2θ ≤ 90°, in order of falling intensity:
| 2θ/deg | d/Å | I/Imax |
| --- | --- | --- |
| 35.73 | 2.513 | 100 |
| 34.85 | 2.575 | 95 |
| 31.98 | 2.799 | 93 |
| 43.88 | 2.063 | 92 |
| 28.17 | 3.168 | 77 |
| 48.26 | 1.886 | 52 |
| 57.21 | 1.610 | 45 |
| 27.07 | 3.295 | 39 |
| 51.24 | 1.783 | 38 |
| 23.36 | 3.808 | 35 |

Structural model:
```
Y2CuSi4Ir3
1.0
4.1267 0.0000 0.0000
0.0000 4.1267 0.0000
0.0000 0.0000 9.8836
Y Cu Si Ir
2 1 4 3
Cartesian
0.0000 2.0633 2.4297
2.0633 0.0000 7.4539
0.0000 0.0000 4.9418
0.0000 0.0000 0.0000
0.0000 2.0633 6.2420
2.0633 0.0000 3.6417
2.0633 2.0633 0.0000
0.0000 2.0633 8.6204
2.0633 0.0000 1.2632
2.0633 2.0633 4.9418
```

---

> Number 3 is which compound?

Y2CuSi4Ir3

---

What did the second record say?
Starting from DFT lattice parameters and positions (PBE), the X-ray diffraction stick pattern of Cs3Cu2Br7 was calculated for Cu Kα (weighted mean of Kα1 and Kα2).

Most intense lines, 10° ≤ 2θ ≤ 90°, in order of falling intensity:
| 2θ/deg | d/Å | I/Imax |
| --- | --- | --- |
| 30.47 | 2.933 | 100 |
| 33.56 | 2.670 | 84 |
| 23.56 | 3.777 | 34 |
| 47.07 | 1.931 | 33 |
| 58.10 | 1.588 | 31 |
| 48.19 | 1.888 | 29 |
| 32.03 | 2.794 | 25 |
| 23.03 | 3.861 | 23 |
| 52.11 | 1.755 | 21 |
| 78.81 | 1.214 | 20 |

Structural model:
```
Cs3Cu2Br7
1.0
-2.6705 2.6705 13.9711
2.6705 -2.6705 13.9711
2.6705 2.6705 -13.9711
Cs Cu Br
3 2 7
Cartesian
0.0000 0.0000 0.0000
0.0000 0.0000 5.0571
0.0000 0.0000 22.8851
0.0000 0.0000 11.3661
0.0000 0.0000 16.5761
2.6705 0.0000 2.5444
0.0000 0.0000 8.8218
2.6705 0.0000 11.4267
0.0000 0.0000 13.9711
0.0000 2.6705 2.5444
0.0000 0.0000 19.1203
0.0000 2.6705 11.4267
```